1.
Diffraction record for CoPW. The PXRD pattern is simulated, not measured: it uses a structure optimized by DFT (PBE) and Cu Kα (λ = 1.5418 Å).
Kinematic intensities with the Lorentz-polarization factor, no thermal factor.

Principal peaks in the range 10° ≤ 2θ ≤ 90°, most intense first:
2θ = 39.19°, I 100, hkl 1 1 1
2θ = 43.30°, I 57, hkl 2 0 1
2θ = 48.05°, I 51, hkl 0 0 2
2θ = 30.91°, I 32, hkl 1 1 0
2θ = 72.44°, I 28, hkl 3 1 1
2θ = 23.50°, I 23, hkl 0 0 1
2θ = 70.31°, I 18, hkl 2 1 2
2θ = 35.84°, I 17, hkl 2 0 0
2θ = 86.97°, I 17, hkl 3 1 2
2θ = 67.38°, I 16, hkl 3 1 0
2θ = 88.99°, I 13, hkl 3 2 1
2θ = 58.25°, I 11, hkl 1 1 2

Structure:
Lattice parameters (Å, degrees): 5.7863 5.7863 3.7859 90.00 90.00 120.00
Space group P-62m (No. 189)
Inequivalent atoms, fractional coordinates:
1 Co 0.0000 0.2584 0.0000
2 P 0.0000 0.0000 0.5000
3 P 0.3333 0.6667 0.0000
4 W 0.0000 0.5900 0.5000

---

2.
Diffraction record for KHgBC3N3Cl. The PXRD pattern is simulated, not measured: it uses a structure optimized by DFT (PBE) and Cu Kα (λ = 1.5418 Å).
Kinematic intensities with the Lorentz-polarization factor, no thermal factor.

Principal peaks in the range 10° ≤ 2θ ≤ 90°, most intense first:
2θ = 23.01°, I 100, hkl 2 0 -2
2θ = 17.06°, I 99, hkl 1 1 0
2θ = 17.85°, I 99, hkl 0 1 2
2θ = 24.74°, I 80, hkl 1 0 -4
2θ = 17.57°, I 75, hkl 1 1 -2
2θ = 23.65°, I 75, hkl 1 0 2
2θ = 30.59°, I 61, hkl 0 1 4
2θ = 33.74°, I 61, hkl 0 3 1
2θ = 29.89°, I 59, hkl 2 1 -4
2θ = 13.78°, I 53, hkl 1 0 -2
2θ = 28.65°, I 53, hkl 2 1 0
2θ = 46.08°, I 40, hkl 1 4 -1

Structure:
Lattice parameters (Å, degrees): 7.7378 8.1551 14.3901 90.00 119.38 90.00
Space group P2_1/c (No. 14)
Inequivalent atoms, fractional coordinates:
1 K 0.0361 0.0130 0.3167
2 Hg 0.3329 0.1805 0.0944
3 B 0.3411 0.5884 0.5926
4 C 0.1858 0.6355 0.4760
5 C 0.2719 0.6507 0.6714
6 C 0.4463 0.1487 0.8761
7 N 0.0641 0.6686 0.3891
8 N 0.2173 0.6992 0.7291
9 N 0.2880 0.1957 0.8542
10 Cl 0.2895 0.0284 0.5807

---

3.
Diffraction record for GdLuFe2Br2. The PXRD pattern is simulated, not measured: it uses a structure optimized by DFT (PBE) and Cu Kα (λ = 1.5418 Å).
Kinematic intensities with the Lorentz-polarization factor, no thermal factor.

Principal peaks in the range 10° ≤ 2θ ≤ 90°, most intense first:
2θ = 35.70°, I 100, hkl 0 1 3
2θ = 31.05°, I 38, hkl 0 1 2
2θ = 47.38°, I 38, hkl 1 1 0
2θ = 27.94°, I 30, hkl 0 1 1
2θ = 69.15°, I 23, hkl 1 1 6
2θ = 60.71°, I 21, hkl 2 0 3
2θ = 80.42°, I 19, hkl 1 2 3
2θ = 48.02°, I 17, hkl 1 0 5
2θ = 26.83°, I 16, hkl 1 0 0
2θ = 47.25°, I 12, hkl 0 0 6
2θ = 41.44°, I 11, hkl 1 0 4
2θ = 15.35°, I 11, hkl 0 0 2

Structure:
Lattice parameters (Å, degrees): 3.8375 3.8375 11.5421 90.00 90.00 120.00
Space group P3m1 (No. 156)
Inequivalent atoms, fractional coordinates:
1 Gd 0.0000 0.0000 0.0000
2 Lu 0.0000 0.0000 0.6609
3 Fe 0.3333 0.6667 0.8196
4 Fe 0.6667 0.3333 0.8321
5 Br 0.3333 0.6667 0.1698
6 Br 0.6667 0.3333 0.4985

---

4.
Diffraction record for TbY2Co2C2N3. The PXRD pattern is simulated, not measured: it uses a structure optimized by DFT (PBE) and Cu Kα (λ = 1.5418 Å).
Kinematic intensities with the Lorentz-polarization factor, no thermal factor.

Principal peaks in the range 10° ≤ 2θ ≤ 90°, most intense first:
2θ = 29.28°, I 100, hkl 1 0 3
2θ = 34.73°, I 77, hkl 1 0 5
2θ = 37.96°, I 67, hkl 1 1 2
2θ = 36.99°, I 55, hkl 0 0 8
2θ = 46.54°, I 48, hkl 1 1 6
2θ = 52.99°, I 43, hkl 2 0 0
2θ = 66.37°, I 37, hkl 2 0 8
2θ = 36.77°, I 36, hkl 1 1 0
2θ = 61.69°, I 27, hkl 2 1 3
2θ = 64.92°, I 25, hkl 2 1 5
2θ = 58.66°, I 21, hkl 1 0 11
2θ = 53.15°, I 18, hkl 1 1 8

Structure:
Lattice parameters (Å, degrees): 3.4563 3.4563 19.4434 90.00 90.00 90.00
Space group I4/mmm (No. 139)
Inequivalent atoms, fractional coordinates:
1 Tb 0.0000 0.0000 0.0000
2 Y 0.0000 0.0000 0.3729
3 Co 0.0000 0.5000 0.2500
4 C 0.0000 0.0000 0.1941
5 N 0.0000 0.0000 0.1208
6 N 0.0000 0.0000 0.5000

---

5.
Diffraction record for Lu4AsAuC2. The PXRD pattern is simulated, not measured: it uses a structure optimized by DFT (PBE) and Cu Kα (λ = 1.5418 Å).
Kinematic intensities with the Lorentz-polarization factor, no thermal factor.

Principal peaks in the range 10° ≤ 2θ ≤ 90°, most intense first:
2θ = 34.96°, I 100, hkl 1 0 3
2θ = 28.50°, I 28, hkl 1 0 0
2θ = 50.48°, I 26, hkl 1 1 0
2θ = 62.87°, I 18, hkl 2 0 3
2θ = 84.69°, I 18, hkl 2 1 3
2θ = 66.45°, I 17, hkl 1 1 6
2θ = 40.26°, I 12, hkl 0 0 6
2θ = 50.06°, I 11, hkl 1 0 6
2θ = 69.77°, I 9, hkl 1 0 9
2θ = 31.52°, I 5, hkl 1 0 2
2θ = 58.99°, I 4, hkl 2 0 0
2θ = 73.84°, I 4, hkl 2 0 6

Structure:
Lattice parameters (Å, degrees): 3.6161 3.6161 13.4404 90.00 90.00 120.00
Space group P-6m2 (No. 187)
Inequivalent atoms, fractional coordinates:
1 Lu 0.0000 0.0000 0.1472
2 Lu 0.3333 0.6667 0.3395
3 As 0.3333 0.6667 0.0000
4 Au 0.0000 0.0000 0.5000
5 C 0.6667 0.3333 0.2500

---

6.
Diffraction record for Na5Sb2Au. The PXRD pattern is simulated, not measured: it uses a structure optimized by DFT (PBE) and Cu Kα (λ = 1.5418 Å).
Kinematic intensities with the Lorentz-polarization factor, no thermal factor.

Principal peaks in the range 10° ≤ 2θ ≤ 90°, most intense first:
2θ = 19.74°, I 100, hkl 1 0 1
2θ = 34.05°, I 69, hkl 1 1 0
2θ = 20.54°, I 51, hkl 0 1 2
2θ = 38.55°, I 36, hkl 1 0 10
2θ = 45.71°, I 25, hkl 1 1 9
2θ = 32.86°, I 24, hkl 0 1 8
2θ = 53.29°, I 23, hkl 2 1 1
2θ = 41.55°, I 18, hkl 0 1 11
2θ = 39.67°, I 17, hkl 0 2 1
2θ = 63.95°, I 16, hkl 2 1 10
2θ = 52.37°, I 15, hkl 0 2 10
2θ = 29.57°, I 14, hkl 0 0 9

Structure:
Lattice parameters (Å, degrees): 5.2655 5.2655 27.1927 90.00 90.00 120.00
Space group R-3m (No. 166, hexagonal axes)
Inequivalent atoms, fractional coordinates:
1 Na 0.0000 0.0000 0.0000
2 Na 0.0000 0.0000 0.1241
3 Na 0.0000 0.0000 0.2807
4 Sb 0.0000 0.0000 0.4025
5 Au 0.0000 0.0000 0.5000

---

7.
Diffraction record for Na2Tb. The PXRD pattern is simulated, not measured: it uses a structure optimized by DFT (PBE) and Cu Kα (λ = 1.5418 Å).
Kinematic intensities with the Lorentz-polarization factor, no thermal factor.

Principal peaks in the range 10° ≤ 2θ ≤ 90°, most intense first:
2θ = 30.99°, I 100, hkl 1 0 3
2θ = 27.89°, I 87, hkl 1 1 0
2θ = 33.11°, I 83, hkl 1 1 2
2θ = 15.99°, I 49, hkl 1 0 0
2θ = 51.32°, I 47, hkl 2 1 3
2θ = 18.24°, I 32, hkl 1 0 1
2θ = 33.53°, I 30, hkl 2 0 1
2θ = 17.49°, I 27, hkl 0 0 2
2θ = 56.22°, I 24, hkl 2 0 5
2θ = 23.79°, I 24, hkl 1 0 2
2θ = 52.75°, I 22, hkl 3 0 2
2θ = 66.88°, I 22, hkl 3 1 3

Structure:
Lattice parameters (Å, degrees): 6.3986 6.3986 10.1387 90.00 90.00 120.00
Space group P6_3/mmc (No. 194)
Inequivalent atoms, fractional coordinates:
1 Na 0.0000 0.0000 0.0000
2 Na 0.1714 0.3427 0.2500
3 Tb 0.3333 0.6667 0.5623

---

8.
Diffraction record for Cu3Se4N. The PXRD pattern is simulated, not measured: it uses a structure optimized by DFT (PBE) and Cu Kα (λ = 1.5418 Å).
Kinematic intensities with the Lorentz-polarization factor, no thermal factor.

Principal peaks in the range 10° ≤ 2θ ≤ 90°, most intense first:
2θ = 28.91°, I 100, hkl 1 1 2
2θ = 48.30°, I 43, hkl 2 0 4
2θ = 56.79°, I 25, hkl 3 1 2
2θ = 47.75°, I 22, hkl 2 2 0
2θ = 57.77°, I 13, hkl 1 1 6
2θ = 89.43°, I 11, hkl 4 2 4
2θ = 78.13°, I 9, hkl 3 1 6
2θ = 38.32°, I 8, hkl 2 1 1
2θ = 69.84°, I 6, hkl 4 0 0
2θ = 77.29°, I 4, hkl 3 3 2
2θ = 30.36°, I 4, hkl 1 0 3
2θ = 51.63°, I 3, hkl 3 0 1

Structure:
Lattice parameters (Å, degrees): 5.3873 5.3873 10.5463 90.00 90.00 90.00
Space group I-42m (No. 121)
Inequivalent atoms, fractional coordinates:
1 Cu 0.0000 0.0000 0.0000
2 Cu 0.0000 0.5000 0.2500
3 Se 0.2262 0.2262 0.6181
4 N 0.0000 0.0000 0.5000